For CaPH4O6, a DFT-relaxed cell (PBE, Alexandria) gives the theoretical powder XRD pattern in this record (Cu Kα, 1.54184 Å).
Kinematic intensities with the Lorentz-polarization factor, no thermal factor.

Cell and atoms:
Unit cell a=6.194 b=6.313 c=7.704 alpha=77.11 beta=84.27 gamma=62.94
Element x y z (fractional)
Ca 0.105 0.234 0.227
Ca 0.895 0.766 0.773
P 0.369 0.779 0.665
P 0.631 0.221 0.335
H 0.147 0.203 0.841
H 0.302 0.853 0.013
H 0.339 0.687 0.207
H 0.340 0.280 0.878
H 0.660 0.720 0.122
H 0.661 0.313 0.793
H 0.698 0.147 0.987
H 0.853 0.797 0.159
O 0.162 0.325 0.896
O 0.202 0.926 0.803
O 0.232 0.679 0.583
O 0.352 0.835 0.138
O 0.375 0.385 0.261
O 0.402 0.965 0.484
O 0.598 0.035 0.516
O 0.625 0.615 0.739
O 0.648 0.165 0.862
O 0.768 0.321 0.417
O 0.798 0.074 0.197
O 0.838 0.675 0.104

The 10 most intense peaks (2θ = 10–90°), by angle:
- (0 1 1), 17.96°, 4.939 Å, I 100
- (1 0 1), 19.98°, 4.444 Å, I 26
- (0 1 -1), 21.84°, 4.069 Å, I 42
- (0 0 2), 23.70°, 3.755 Å, I 31
- (0 1 2), 25.90°, 3.440 Å, I 27
- (2 1 0), 29.03°, 3.076 Å, I 37
- (1 -1 1), 31.36°, 2.852 Å, I 28
- (0 2 0), 32.50°, 2.755 Å, I 25
- (-1 1 2), 34.31°, 2.613 Å, I 22
- (2 -1 0), 42.72°, 2.116 Å, I 19

=====

For CaP2H4O8, a DFT-relaxed cell (PBE, Alexandria) gives the theoretical powder XRD pattern in this record (Cu Kα, 1.54184 Å).
Kinematic intensities with the Lorentz-polarization factor, no thermal factor.

Cell and atoms:
Unit cell a=5.594 b=8.104 c=8.243 alpha=101.97 beta=100.63 gamma=103.43
Element x y z (fractional)
Ca 0.209 0.486 0.356
Ca 0.791 0.514 0.644
P 0.227 0.277 0.697
P 0.428 0.167 0.234
P 0.572 0.833 0.766
P 0.773 0.723 0.303
H 0.000 0.000 0.500
H 0.094 0.816 0.196
H 0.145 0.206 0.031
H 0.470 0.042 0.667
H 0.500 0.000 0.000
H 0.530 0.958 0.333
H 0.855 0.794 0.969
H 0.906 0.184 0.804
O 0.075 0.359 0.577
O 0.080 0.269 0.852
O 0.157 0.186 0.149
O 0.197 0.081 0.607
O 0.366 0.986 0.288
O 0.419 0.853 0.901
O 0.467 0.678 0.610
O 0.498 0.624 0.226
O 0.502 0.376 0.774
O 0.533 0.322 0.390
O 0.581 0.147 0.099
O 0.634 0.014 0.712
O 0.803 0.919 0.393
O 0.843 0.814 0.851
O 0.920 0.731 0.148
O 0.925 0.641 0.423

The 10 most intense peaks (2θ = 10–90°), by angle:
- (0 0 1), 11.32°, 7.819 Å, I 88
- (1 -1 0), 17.56°, 5.052 Å, I 33
- (0 1 1), 18.28°, 4.854 Å, I 39
- (0 0 2), 22.74°, 3.911 Å, I 78
- (1 1 0), 23.06°, 3.857 Å, I 100
- (1 -2 1), 26.38°, 3.378 Å, I 76
- (1 1 -2), 26.95°, 3.309 Å, I 62
- (0 2 -2), 28.12°, 3.173 Å, I 34
- (0 2 1), 28.66°, 3.115 Å, I 51
- (0 4 -1), 46.06°, 1.971 Å, I 28